Entry 1:
This entry pairs a crystal structure of Ho6AlZn2 with its calculated powder diffractogram. Radiation: Cu Kα (λ = 1.5418 Å). Structure: a cell relaxed with GGA-PBE.

Principal peaks in the range 2θ from 10° to 90°, by angle:
25.5°, rel. 24; 25.9°, rel. 17; 29.3°, rel. 26; 31.7°, rel. 100; 34.0°, rel. 58; 34.6°, rel. 81; 36.5°, rel. 40; 41.0°, rel. 20; 58.0°, rel. 17; 58.6°, rel. 17

Crystal structure
```
Ho6AlZn2
1.0
-4.8143 4.9204 4.9558
4.8143 -4.9204 4.9558
4.8143 4.9204 -4.9558
Ho Al Zn
12 2 4
Direct
0.0415 0.8207 0.2207 Ho
0.2451 0.5433 0.2982 Ho
0.2451 0.9468 0.7018 Ho
0.2662 0.3199 0.5861 Ho
0.2662 0.6801 0.9462 Ho
0.4000 0.1793 0.2207 Ho
0.6000 0.8207 0.7793 Ho
0.7338 0.3199 0.0538 Ho
0.7338 0.6801 0.4139 Ho
0.7549 0.0532 0.2982 Ho
0.7549 0.4567 0.7018 Ho
0.9585 0.1793 0.7793 Ho
0.0000 0.5000 0.5000 Al
0.5000 0.0000 0.5000 Al
0.0000 0.1364 0.1364 Zn
0.0000 0.8636 0.8636 Zn
0.3732 0.3732 0.0000 Zn
0.6268 0.6268 0.0000 Zn
```

Entry 2:
This entry pairs a crystal structure of Ho2Al3Zn6 with its calculated powder diffractogram. Radiation: Cu Kα (λ = 1.5418 Å). Structure: a cell relaxed with GGA-PBE.

Principal peaks in the range 2θ from 10° to 90°, by angle:
24.5°, rel. 25; 28.3°, rel. 100; 33.3°, rel. 98; 35.5°, rel. 56; 37.2°, rel. 44; 39.2°, rel. 20; 39.4°, rel. 22; 41.9°, rel. 25; 45.3°, rel. 41; 60.0°, rel. 21

Crystal structure
```
Ho2Al3Zn6
1.0
5.1114 -5.1518 0.0000
5.1114 5.1518 0.0000
0.0000 0.0000 4.0065
Ho Al Zn
2 3 6
Direct
0.2184 0.7816 0.0000 Ho
0.7816 0.2184 0.0000 Ho
0.2965 0.2965 0.0000 Al
0.5000 0.5000 0.5000 Al
0.7035 0.7035 0.0000 Al
0.1161 0.1161 0.5000 Zn
0.1563 0.4679 0.5000 Zn
0.4679 0.1563 0.5000 Zn
0.5321 0.8437 0.5000 Zn
0.8437 0.5321 0.5000 Zn
0.8839 0.8839 0.5000 Zn
```